Structure and theoretical X-ray diffraction stick pattern of GaCoMo6O40 (a GGA+U-relaxed structure; Cu Kα (λ = 1.5418 Å)).

Main lines, low angle first (5° ≤ 2θ ≤ 70°):
2theta, Rel. int., hkl
8.25, 98, 0 1 0
10.43, 80, 0 1 -1
13.74, 74, 1 -1 0
16.13, 47, 1 -1 1
18.38, 100, 1 -2 0
19.65, 78, 1 -2 1
26.86, 75, 0 1 3
33.98, 42, -2 1 3

Atomic structure:
```
GaCoMo6O40
1.0
6.9142 0.0000 0.0000
-2.6971 10.8820 0.0000
-1.1503 -1.9695 11.0873
Ga Co Mo O
1 1 6 40
Direct
0.0000 0.0000 0.0000
0.0000 0.5000 0.5000
0.0337 0.4294 0.1998
0.3550 0.7602 0.6854
0.4022 0.6746 0.3895
0.5978 0.3254 0.6105
0.6450 0.2398 0.3146
0.9663 0.5706 0.8002
0.0043 0.0550 0.1510
0.0174 0.1155 0.5912
0.0493 0.2384 0.8648
0.0710 0.8074 0.0709
0.0854 0.6640 0.5093
0.0925 0.7262 0.7458
0.1022 0.9757 0.3889
0.1529 0.6084 0.2670
0.1563 0.5581 0.9057
0.1811 0.5413 0.6349
0.1972 0.4862 0.3960
0.2125 0.3876 0.1197
0.3513 0.0944 0.9519
0.3753 0.9100 0.6596
0.4047 0.3658 0.6786
0.4159 0.8278 0.3756
0.4592 0.2805 0.9006
0.4787 0.1707 0.9015
0.4792 0.2281 0.1861
0.4893 0.6910 0.5595
0.5107 0.3090 0.4405
0.5208 0.7719 0.8139
0.5213 0.8293 0.0985
0.5408 0.7195 0.0994
0.5841 0.1722 0.6244
0.5953 0.6342 0.3214
0.6247 0.0900 0.3404
0.6487 0.9056 0.0481
0.7875 0.6124 0.8803
0.8028 0.5138 0.6040
0.8189 0.4587 0.3651
0.8437 0.4419 0.0943
0.8471 0.3916 0.7330
0.8978 0.0243 0.6111
0.9075 0.2738 0.2542
0.9146 0.3360 0.4907
0.9290 0.1926 0.9291
0.9507 0.7616 0.1352
0.9826 0.8845 0.4088
0.9957 0.9450 0.8490
```